Starting from a PBE-relaxed structure, the X-ray diffraction stick pattern of CrAgP2Se6 was simulated for Cu Kα.
Neutral-atom scattering factors, no anomalous dispersion.

Structural model:
```
10
Lattice="3.1906 -5.5261 0.0000 3.1906 5.5261 0.0000 -2.0549 0.0000 7.0575" Properties=species:S:1:pos:R:3 pbc="T T T"
Cr 0.0000 0.0000 0.0000
Ag 3.1906 -1.8435 0.0000
P 1.1349 1.8354 5.9475
P 3.1915 1.8354 1.1100
Se 1.0489 1.6025 1.7001
Se -0.1400 0.1023 5.3527
Se 0.8656 -1.7153 1.7063
Se 3.2774 1.6025 5.3574
Se 4.4663 0.1023 1.7048
Se 3.4607 -1.7153 5.3512
```

Peak list (8 most intense, 10° ≤ 2θ ≤ 90°, low angle first)
| d/Å | intensity |
| --- | --- |
| 7.058 | 63 |
| 3.529 | 26 |
| 3.155 | 25 |
| 3.050 | 18 |
| 2.739 | 100 |
| 2.720 | 46 |
| 2.032 | 32 |
| 1.842 | 42 |